1.
Ce2Zn9Au: computed powder diffractogram (Cu Kα X-rays), based on a cell relaxed with GGA-PBE.
No peak broadening, texture or thermal motion is included.

Peak list (10 most intense, 10° ≤ 2θ ≤ 80°, in order of falling intensity)
index  d (Å)  I (rel.)
1 1 6  2.284  1000
1 1 0  2.670  394
1 0 7  2.927  333
0 2 1  2.303  305
3 0 6  1.455  233
0 1 8  2.691  217
0 0 12  2.206  200
2 2 0  1.335  194
0 2 13  1.528  113
2 0 14  1.464  112

Structural model:
a = 5.3396 Å, b = 5.3396 Å, c = 26.4663 Å
α = 90.00°, β = 90.00°, γ = 120.00°
Space group R-3m (No. 166, hexagonal axes)
Symmetry-distinct sites (fractional):
Ce  0.0000  0.0000  0.1484 (multiplicity 6)
Zn  0.0000  0.0000  0.3350 (multiplicity 6)
Zn  0.0000  0.0000  0.5000 (multiplicity 3)
Zn  0.0015  0.5008  0.9189 (multiplicity 18)
Au  0.0000  0.0000  0.0000 (multiplicity 3)

---

2.
Ce2Zn15Au2: computed powder diffractogram (Cu Kα X-rays), based on a cell relaxed with GGA-PBE.
No peak broadening, texture or thermal motion is included.

Peak list (10 most intense, 10° ≤ 2θ ≤ 80°, in order of falling intensity)
index  d (Å)  I (rel.)
2 2 0  2.272  1000
3 0 0  2.624  762
0 2 4  2.548  643
0 3 3  2.261  623
2 2 3  2.024  564
2 1 4  2.222  521
1 0 1  6.783  405
2 0 5  2.212  381
1 0 4  3.076  343
0 3 9  1.293  334

Structural model:
a = 9.0895 Å, b = 9.0895 Å, c = 13.3685 Å
α = 90.00°, β = 90.00°, γ = 120.00°
Space group R-3m (No. 166, hexagonal axes)
Symmetry-distinct sites (fractional):
Ce  0.0000  0.0000  0.1583 (multiplicity 6)
Zn  0.0000  0.2929  0.5000 (multiplicity 18)
Zn  0.0000  0.5000  0.0000 (multiplicity 9)
Zn  0.0094  0.5047  0.6526 (multiplicity 18)
Au  0.0000  0.0000  0.3895 (multiplicity 6)

---

3.
Ce2Zn2Au: computed powder diffractogram (Cu Kα X-rays), based on a cell relaxed with GGA-PBE.
No peak broadening, texture or thermal motion is included.

Peak list (10 most intense, 10° ≤ 2θ ≤ 80°, in order of falling intensity)
index  d (Å)  I (rel.)
1 1 1  2.703  1000
1 5 0  2.350  603
0 4 1  2.434  443
2 0 0  2.283  287
2 4 1  1.665  278
1 5 2  1.393  227
0 2 0  6.852  208
1 3 0  3.229  159
1 9 1  1.333  148
0 6 1  1.906  146

Structural model:
a = 4.566 Å, b = 13.703 Å, c = 3.459 Å
α = 90.00°, β = 90.00°, γ = 90.00°
Space group Cmmm (No. 65)
Symmetry-distinct sites (fractional):
Ce  0.000  0.107  0.000 (multiplicity 4)
Zn  0.000  0.298  0.500 (multiplicity 4)
Au  0.000  0.500  0.500 (multiplicity 2)

---

4.
CeZn2Au10: computed powder diffractogram (Cu Kα X-rays), based on a cell relaxed with GGA-PBE.
No peak broadening, texture or thermal motion is included.

Peak list (10 most intense, 10° ≤ 2θ ≤ 80°, in order of falling intensity)
index  d (Å)  I (rel.)
1 1 5  2.390  1000
0 4 4  2.370  574
2 4 0  2.125  460
1 3 3  2.744  447
1 5 1  2.358  399
2 0 4  2.141  384
0 2 6  2.133  332
2 0 0  2.765  280
2 6 6  1.372  265
0 6 2  2.104  166

Structural model:
a = 5.531 Å, b = 13.284 Å, c = 13.531 Å
α = 90.00°, β = 90.00°, γ = 90.00°
Space group Fmmm (No. 69)
Symmetry-distinct sites (fractional):
Ce  0.000  0.000  0.000 (multiplicity 4)
Zn  0.250  0.000  0.250 (multiplicity 8)
Au  0.000  0.105  0.388 (multiplicity 16)
Au  0.000  0.163  0.175 (multiplicity 16)
Au  0.250  0.250  0.000 (multiplicity 8)

---

5.
Ce4Zn2Au5: computed powder diffractogram (Cu Kα X-rays), based on a cell relaxed with GGA-PBE.
No peak broadening, texture or thermal motion is included.

Peak list (10 most intense, 10° ≤ 2θ ≤ 80°, in order of falling intensity)
index  d (Å)  I (rel.)
1 1 -2  2.723  1000
2 1 0  2.685  598
1 1 2  2.650  549
3 0 -2  2.312  479
2 1 1  2.541  348
0 2 0  1.856  305
0 0 4  2.246  295
0 1 0  3.712  233
3 2 -2  1.447  219
1 0 -3  2.859  207

Structural model:
a = 7.796 Å, b = 3.712 Å, c = 9.003 Å
α = 90.00°, β = 93.75°, γ = 90.00°
Space group P2/m (No. 10)
Symmetry-distinct sites (fractional):
Ce  0.221  0.000  0.360 (multiplicity 2)
Ce  0.277  0.000  0.866 (multiplicity 2)
Zn  0.434  0.500  0.618 (multiplicity 2)
Au  0.000  0.500  0.000 (multiplicity 1)
Au  0.100  0.500  0.637 (multiplicity 2)
Au  0.382  0.500  0.125 (multiplicity 2)

---

6.
Ce4Zn5Au2: computed powder diffractogram (Cu Kα X-rays), based on a cell relaxed with GGA-PBE.
No peak broadening, texture or thermal motion is included.

Peak list (10 most intense, 10° ≤ 2θ ≤ 80°, in order of falling intensity)
index  d (Å)  I (rel.)
3 0 -1  2.369  1000
2 0 3  2.351  689
3 2 -1  1.361  500
1 0 0  7.212  358
1 1 1  2.866  311
1 1 -1  2.909  303
0 1 2  2.754  297
1 1 2  2.543  254
1 1 -2  2.603  229
0 1 3  2.333  223

Structural model:
a = 7.226 Å, b = 3.326 Å, c = 9.836 Å
α = 90.00°, β = 93.57°, γ = 90.00°
Space group P2/m (No. 10)
Symmetry-distinct sites (fractional):
Ce  0.129  0.000  0.401 (multiplicity 2)
Ce  0.306  0.000  0.959 (multiplicity 2)
Zn  0.234  0.500  0.672 (multiplicity 2)
Zn  0.423  0.500  0.229 (multiplicity 2)
Zn  0.500  0.500  0.500 (multiplicity 1)
Au  0.046  0.500  0.144 (multiplicity 2)

---

7.
CeZnAu: computed powder diffractogram (Cu Kα X-rays), based on a cell relaxed with GGA-PBE.
No peak broadening, texture or thermal motion is included.

Peak list (10 most intense, 10° ≤ 2θ ≤ 80°, in order of falling intensity)
index  d (Å)  I (rel.)
2 1 1  2.614  1000
0 2 0  2.336  840
1 0 2  3.483  356
2 2 2  1.741  286
2 3 1  1.396  261
4 2 0  1.381  240
0 3 3  1.348  137
4 0 0  1.712  92
2 1 3  1.929  92
3 0 2  1.988  85

Structural model:
a = 6.848 Å, b = 4.673 Å, c = 8.087 Å
α = 90.00°, β = 90.00°, γ = 90.00°
Space group Pnma (No. 62)
Symmetry-distinct sites (fractional):
Ce  0.004  0.250  0.229 (multiplicity 4)
Zn  0.213  0.250  0.582 (multiplicity 4)
Au  0.231  0.750  0.415 (multiplicity 4)

---

8.
CeZn3Au9: computed powder diffractogram (Cu Kα X-rays), based on a cell relaxed with GGA-PBE.
No peak broadening, texture or thermal motion is included.

Peak list (10 most intense, 10° ≤ 2θ ≤ 80°, in order of falling intensity)
index  d (Å)  I (rel.)
1 5 0  2.385  1000
0 4 2  2.370  741
2 2 -2  2.291  571
2 0 -1  2.686  467
1 1 2  2.413  456
1 3 -2  2.669  422
2 4 -1  2.101  413
2 0 1  2.162  347
2 6 2  1.391  325
1 3 1  2.782  313

Structural model:
a = 5.384 Å, b = 13.492 Å, c = 7.028 Å
α = 90.00°, β = 108.64°, γ = 90.00°
Space group C2/m (No. 12)
Symmetry-distinct sites (fractional):
Ce  0.000  0.000  0.000 (multiplicity 2)
Zn  0.000  0.500  0.500 (multiplicity 2)
Zn  0.250  0.250  0.000 (multiplicity 4)
Au  0.000  0.000  0.500 (multiplicity 2)
Au  0.081  0.392  0.213 (multiplicity 8)
Au  0.140  0.177  0.332 (multiplicity 8)